Structure and theoretical PXRD pattern of Ho3WO6 (DFT lattice parameters and positions (PBE+U); a wavelength of 1.5418 Å).
Kinematic intensities with the Lorentz-polarization factor, no thermal factor.

Main lines, sorted by position (2θ from 10° to 90°):
hkl, 2θ (°), Rel. int.
0 0 3, 24.15, 39
2 0 2, 26.97, 41
3 -1 1, 29.77, 100
2 -1 3, 30.67, 41
3 0 0, 32.56, 22
1 2 2, 32.98, 96
4 -1 2, 42.77, 21
3 -1 4, 43.77, 37
4 1 0, 50.69, 44
1 1 6, 53.31, 24

Crystal structure
Cell: 9.5273 9.5273 11.0546 Å, 90.00 90.00 120.00°
Space group R-3 (No. 148, hexagonal axes)
Symmetry-distinct sites (fractional):
Ho  0.0404  0.7744  0.2068
W  0.0000  0.0000  0.0000
W  0.0000  0.0000  0.5000
O  0.0260  0.8107  0.4038
O  0.0279  0.8419  0.8733